This entry pairs a crystal structure of SiC2O with its calculated powder diffractogram. Radiation: Cu Kα (weighted mean of Kα1 and Kα2). Structure: a structure optimized by DFT (PBE).
Neutral-atom scattering factors, no anomalous dispersion.

Peak list (12 most intense, 10 to 80 degrees two-theta, most intense first)
| 2θ/deg | I_rel |
| --- | --- |
| 36.23 | 100 |
| 60.57 | 29 |
| 73.93 | 18 |
| 61.96 | 14 |
| 71.38 | 10 |
| 23.29 | 9 |
| 42.69 | 8 |
| 40.86 | 4 |
| 49.19 | 3 |
| 76.91 | 3 |
| 37.18 | 3 |
| 57.87 | 2 |

Structural model:
```
SiC2O
1.0
-2.1182 2.1182 4.4174
2.1182 -2.1182 4.4174
2.1182 2.1182 -4.4174
Si C O
2 4 2
Direct
0.0000 0.0000 0.0000
0.7500 0.2500 0.5000
0.1241 0.6250 0.9991
0.3750 0.3741 0.4991
0.6259 0.1250 0.0009
0.8750 0.8759 0.5009
0.2500 0.7500 0.5000
0.5000 0.5000 0.0000
```